Record 1
# Li2SeO4
Simulated XRD peak list, λ = 1.5418 Å (Cu Kα). Input: a structure optimized by DFT (PBE).
Lines closer than 0.1° are merged.

Principal peaks in the range 10° ≤ 2θ ≤ 90°, by angle:
d_spacing  two_theta  I_rel
4.428  20.1  31.9
4.184  21.2  100.0
3.561  25.0  26.5
3.325  26.8  20.5
3.218  27.7  15.0
2.891  30.9  26.9
2.692  33.3  23.1
2.189  41.2  9.7
1.899  47.9  13.0
1.452  64.2  16.8

Structural model:
```
Li2SeO4
1.0
7.1213 4.1115 3.1631
-7.1213 4.1115 3.1631
0.0000 -8.2230 3.1631
Li Se O
12 6 24
Direct
0.0995 0.8780 0.2785
0.1220 0.7215 0.9005
0.2041 0.6081 0.4357
0.2785 0.0995 0.8780
0.3919 0.5643 0.7959
0.4357 0.2041 0.6081
0.5643 0.7959 0.3919
0.6081 0.4357 0.2041
0.7215 0.9005 0.1220
0.7959 0.3919 0.5643
0.8780 0.2785 0.0995
0.9005 0.1220 0.7215
0.0519 0.2362 0.4601
0.2362 0.4601 0.0519
0.4601 0.0519 0.2362
0.5399 0.9481 0.7638
0.7638 0.5399 0.9481
0.9481 0.7638 0.5399
0.0263 0.3101 0.9723
0.0277 0.9737 0.6899
0.0339 0.3615 0.3527
0.0672 0.7512 0.4248
0.2488 0.5752 0.9328
0.2658 0.3140 0.6000
0.3101 0.9723 0.0263
0.3140 0.6000 0.2658
0.3527 0.0339 0.3615
0.3615 0.3527 0.0339
0.4000 0.7342 0.6860
0.4248 0.0672 0.7512
0.5752 0.9328 0.2488
0.6000 0.2658 0.3140
0.6385 0.6473 0.9661
0.6473 0.9661 0.6385
0.6860 0.4000 0.7342
0.6899 0.0277 0.9737
0.7342 0.6860 0.4000
0.7512 0.4248 0.0672
0.9328 0.2488 0.5752
0.9661 0.6385 0.6473
0.9723 0.0263 0.3101
0.9737 0.6899 0.0277
```

Record 2
# LiSe2O6
Simulated XRD peak list, λ = 1.5418 Å (Cu Kα). Input: a structure optimized by DFT (PBE).
Lines closer than 0.1° are merged.

Principal peaks in the range 10° ≤ 2θ ≤ 90°, by angle:
d_spacing  two_theta  I_rel
7.334  12.1  21.3
4.558  19.5  100.0
3.868  23.0  9.5
3.667  24.3  18.3
3.443  25.9  27.6
3.103  28.8  11.5
2.910  30.7  10.9
2.799  32.0  15.8
2.701  33.2  20.9
2.510  35.8  14.0

Structural model:
```
LiSe2O6
1.0
5.8272 0.0000 0.0000
0.0000 7.3337 0.0000
-5.5023 0.0000 6.8864
Li Se O
2 4 12
Direct
0.0000 0.2080 0.0000
0.0000 0.7920 0.5000
0.0779 0.2522 0.6515
0.0779 0.7478 0.1515
0.7037 0.3676 0.2051
0.7037 0.6324 0.7051
0.0202 0.0619 0.5357
0.0202 0.9381 0.0357
0.4219 0.3190 0.8119
0.4219 0.6810 0.3119
0.4459 0.2328 0.1710
0.4459 0.7672 0.6710
0.8806 0.2756 0.7284
0.8806 0.7244 0.2284
0.9295 0.4304 0.4671
0.9295 0.5696 0.9671
0.9536 0.2617 0.2037
0.9536 0.7383 0.7037
```

Record 3
# Li7SeO2
Simulated XRD peak list, λ = 1.5418 Å (Cu Kα). Input: a structure optimized by DFT (PBE).
Lines closer than 0.1° are merged.

Principal peaks in the range 10° ≤ 2θ ≤ 90°, by angle:
d_spacing  two_theta  I_rel
4.448  20.0  25.3
3.504  25.4  42.9
3.061  29.2  100.0
2.966  30.1  20.3
2.525  35.6  30.4
2.431  37.0  23.8
2.197  41.1  26.3
1.923  47.3  34.0
1.787  51.1  18.3
1.543  59.9  21.5

Structural model:
```
Li7SeO2
1.0
-1.7869 1.7869 8.8969
1.7869 -1.7869 8.8969
1.7869 1.7869 -8.8969
Li Se O
7 1 2
Direct
0.0000 0.0000 0.0000
0.1213 0.6213 0.5000
0.2500 0.7500 0.5000
0.3787 0.8787 0.5000
0.6213 0.1213 0.5000
0.7500 0.2500 0.5000
0.8787 0.3787 0.5000
0.5000 0.5000 0.0000
0.1801 0.1801 0.0000
0.8199 0.8199 0.0000
```